For Na2PuAlGe2, a PBE-relaxed structure gives the computed PXRD pattern in this record (Cu Kα (weighted mean of Kα1 and Kα2)).

Top 10 peaks for 2θ from 5° to 70°, by angle:
- 10.13 deg, I = 100
- 20.40 deg, I = 26
- 26.65 deg, I = 15
- 31.55 deg, I = 22
- 32.14 deg, I = 30
- 33.81 deg, I = 55
- 37.16 deg, I = 18
- 38.36 deg, I = 20
- 41.53 deg, I = 15
- 42.84 deg, I = 12

Crystal structure
```
Na2PuAlGe2
1.0
4.348 0.000 0.000
0.000 8.735 0.000
0.000 0.000 7.241
Na Pu Al Ge
4 2 2 4
Cartesian
0.000 0.733 0.000
0.000 8.001 3.621
2.174 1.356 2.299
2.174 7.379 5.919
2.174 3.956 7.038
2.174 4.779 3.417
0.000 2.840 4.584
0.000 5.895 0.963
0.000 3.376 1.865
0.000 5.359 5.486
2.174 1.604 5.221
2.174 7.131 1.600
```



For NaAl2GeSe6, a PBE-relaxed structure gives the computed PXRD pattern in this record (Cu Kα (weighted mean of Kα1 and Kα2)).

Top 10 peaks for 2θ from 5° to 70°, by angle:
- 18.74 deg, I = 100
- 21.32 deg, I = 31
- 23.40 deg, I = 34
- 26.66 deg, I = 39
- 26.96 deg, I = 36
- 28.71 deg, I = 59
- 30.03 deg, I = 71
- 31.19 deg, I = 32
- 38.39 deg, I = 31
- 48.39 deg, I = 30

Crystal structure
```
NaAl2GeSe6
1.0
6.663 -6.605 0.000
6.663 6.605 0.000
-3.402 0.000 6.792
Na Al Ge Se
2 4 2 12
Cartesian
4.112 4.901 5.094
5.813 -4.901 1.698
1.206 1.054 6.012
2.906 -1.054 2.616
7.018 1.054 4.175
8.719 -1.054 0.779
5.813 4.266 1.698
4.112 -4.266 5.094
-0.703 0.864 4.551
1.911 3.332 6.353
0.998 -0.864 1.155
2.913 0.701 4.249
6.313 3.332 3.835
4.613 -0.701 0.853
5.311 0.701 5.939
3.612 -3.332 2.957
7.012 -0.701 2.543
8.927 0.864 5.636
8.014 -3.332 0.439
10.628 -0.864 2.240
```



For AlNi4Ge, a PBE-relaxed structure gives the computed PXRD pattern in this record (Cu Kα (weighted mean of Kα1 and Kα2)).

Top 10 peaks for 2θ from 5° to 70°, by angle:
- 38.46 deg, I = 11
- 40.91 deg, I = 9
- 43.14 deg, I = 77
- 43.59 deg, I = 19
- 43.90 deg, I = 100
- 44.94 deg, I = 41
- 47.66 deg, I = 10
- 47.85 deg, I = 45
- 52.07 deg, I = 37
- 66.71 deg, I = 10

Crystal structure
```
AlNi4Ge
1.0
3.802 0.000 0.000
0.000 7.364 0.000
0.000 0.000 5.028
Al Ni Ge
2 8 2
Cartesian
0.000 1.040 0.000
0.000 6.324 2.514
0.000 1.369 2.630
0.000 3.452 0.660
0.000 3.912 3.174
0.000 5.995 0.116
1.901 0.153 1.283
1.901 2.368 4.255
1.901 4.996 1.741
1.901 7.211 3.797
1.901 2.570 1.854
1.901 4.794 4.368
```



For Al3Ni12Ge, a PBE-relaxed structure gives the computed PXRD pattern in this record (Cu Kα (weighted mean of Kα1 and Kα2)).

Top 10 peaks for 2θ from 5° to 70°, by angle:
- 6.19 deg, I = 6
- 12.39 deg, I = 1
- 24.96 deg, I = 4
- 25.75 deg, I = 1
- 31.33 deg, I = 1
- 35.58 deg, I = 3
- 43.95 deg, I = 100
- 51.21 deg, I = 47
- 57.78 deg, I = 1
- 63.91 deg, I = 1

Crystal structure
```
Al3Ni12Ge
1.0
3.567 0.000 0.000
0.000 3.567 0.000
0.000 0.000 14.283
Al Ni Ge
3 12 1
Cartesian
0.000 0.000 0.000
0.000 0.000 3.554
0.000 0.000 10.729
0.000 1.783 1.779
0.000 1.783 5.352
0.000 1.783 8.931
0.000 1.783 12.504
1.783 0.000 1.779
1.783 0.000 5.352
1.783 0.000 8.931
1.783 0.000 12.504
1.783 1.783 0.000
1.783 1.783 3.572
1.783 1.783 7.141
1.783 1.783 10.710
0.000 0.000 7.141
```